Pu2PaGa3Pt4: simulated powder XRD pattern (Cu Kα (λ = 1.5418 Å)), based on a structure optimized by DFT (PBE).
Kinematic intensities with the Lorentz-polarization factor, no thermal factor.

Principal peaks in the range 15 to 90 degrees two-theta, in order of rising 2θ:
| 2θ/deg | I (rel.) |
| --- | --- |
| 32.02 | 31 |
| 33.43 | 100 |
| 41.54 | 49 |
| 46.43 | 20 |
| 60.20 | 17 |
| 70.64 | 24 |

Structure:
```
Pu2PaGa3Pt4
1.0
4.348 0.000 0.000
0.000 4.348 0.000
0.000 0.000 10.949
Pu Pa Ga Pt
2 1 3 4
Cartesian
0.000 2.174 2.565 Pu
2.174 0.000 8.384 Pu
0.000 0.000 5.474 Pa
0.000 2.174 9.639 Ga
2.174 0.000 1.310 Ga
2.174 2.174 5.474 Ga
0.000 0.000 0.000 Pt
0.000 2.174 7.168 Pt
2.174 0.000 3.781 Pt
2.174 2.174 0.000 Pt
```

=====

Tb3Ce2ScTe6: simulated powder XRD pattern (Cu Kα (λ = 1.5418 Å)), based on a structure optimized by DFT (PBE).
Kinematic intensities with the Lorentz-polarization factor, no thermal factor.

Principal peaks in the range 15 to 90 degrees two-theta, in order of rising 2θ:
| 2θ/deg | I (rel.) |
| --- | --- |
| 28.82 | 100 |
| 40.89 | 13 |
| 41.09 | 25 |
| 41.36 | 24 |
| 41.51 | 13 |
| 51.33 | 13 |

Structure:
```
Tb3Ce2ScTe6
1.0
9.562 -2.176 0.000
9.562 2.176 0.000
-2.113 0.000 8.572
Tb Ce Sc Te
3 2 1 6
Cartesian
0.000 0.000 0.000 Tb
4.877 0.000 5.693 Tb
12.134 0.000 2.880 Tb
6.019 0.000 1.410 Ce
10.993 0.000 7.162 Ce
-1.056 0.000 4.286 Sc
1.855 0.000 4.926 Te
2.947 0.000 0.768 Te
7.928 0.000 6.324 Te
9.083 0.000 2.248 Te
14.064 0.000 7.804 Te
15.156 0.000 3.647 Te
```